Structure and computed powder diffractogram of TiTeAs (DFT lattice parameters and positions (PBE); Cu Kα (λ = 1.5418 Å)).
Lines closer than 0.1° are merged.

Main lines, in order of falling intensity (10° ≤ 2θ ≤ 80°):
2θ 32.47, intensity 100
2θ 33.15, intensity 65
2θ 36.65, intensity 64
2θ 42.95, intensity 51
2θ 38.88, intensity 41
2θ 41.31, intensity 34
2θ 55.96, intensity 28
2θ 64.21, intensity 24

Atomic structure:
```
TiTeAs
1.0
-1.799 2.652 6.436
1.799 -2.652 6.436
1.799 2.652 -6.436
Ti Te As
2 2 2
direct
0.118 0.118 0.000
0.882 0.882 0.000
0.291 0.791 0.500
0.709 0.209 0.500
0.251 0.500 0.751
0.749 0.500 0.249
```